For CaVOF2, a cell relaxed with PBE+U gives the calculated PXRD pattern in this record (copper Kα).
Peak positions follow from Bragg's law for the DFT cell and can differ from measured ones.

Largest 10 diffraction maxima, sorted by position, 10 to 90 degrees two-theta:
Position (°2θ)  intensity  index
31.1  1000  1 1 2
32.4  990  2 0 0
37.9  258  2 1 1
42.7  532  0 0 4
46.5  486  2 2 0
54.6  385  2 0 4
57.0  730  3 1 2
64.9  309  2 2 4
77.2  187  4 2 0
89.1  185  3 1 6

a = 5.527 Å, b = 5.527 Å, c = 8.475 Å
α = 90.00°, β = 90.00°, γ = 90.00°
Space group I4/mcm (No. 140)
Symmetry-distinct sites (fractional):
Ca 0.000 0.500 0.250 x4
V 0.000 0.000 0.000 x4
O 0.000 0.000 0.250 x4
F 0.157 0.343 0.000 x8